[1]
This entry pairs a crystal structure of Li2Pm2Pt3 with its simulated X-ray powder pattern. Radiation: Cu Ka. Structure: a cell relaxed with GGA-PBE.
Intensities are scaled so that the largest is 1000.

Crystal structure
```
Li2Pm2Pt3
1.0
2.9004 1.6745 5.0984
-2.9004 1.6745 5.0984
0.0000 -3.3490 5.0984
Li Pm Pt
2 2 3
direct
0.2072 0.2072 0.2072
0.7928 0.7928 0.7928
0.0000 0.0000 0.0000
0.5000 0.5000 0.5000
0.0000 0.5000 0.5000
0.5000 0.0000 0.5000
0.5000 0.5000 0.0000
```

Main lines, low angle first (2θ = 15–90°):
2θ 17.39, I 977; 2θ 18.59, I 279; 2θ 35.21, I 410; 2θ 36.24, I 502; 2θ 37.70, I 1000; 2θ 43.09, I 712

[2]
This entry pairs a crystal structure of Li6Pm2Pt3 with its simulated X-ray powder pattern. Radiation: Cu Ka. Structure: a cell relaxed with GGA-PBE.
Intensities are scaled so that the largest is 1000.

Crystal structure
```
Li6Pm2Pt3
1.0
7.7527 0.0000 0.0000
-3.8764 6.7140 0.0000
0.0000 0.0000 3.9702
Li Pm Pt
6 2 3
direct
0.0000 0.2583 0.0000
0.0000 0.7923 0.5000
0.2077 0.2077 0.5000
0.2583 0.0000 0.0000
0.7417 0.7417 0.0000
0.7923 0.0000 0.5000
0.3333 0.6667 0.5000
0.6667 0.3333 0.5000
0.0000 0.5925 0.0000
0.4075 0.4075 0.0000
0.5925 0.0000 0.0000
```

Main lines, low angle first (2θ = 15–90°):
2θ 22.94, I 405; 2θ 32.28, I 1000; 2θ 35.00, I 449; 2θ 35.37, I 201; 2θ 48.91, I 261; 2θ 54.42, I 212

[3]
This entry pairs a crystal structure of LiPmSiPt2 with its simulated X-ray powder pattern. Radiation: Cu Ka. Structure: a cell relaxed with GGA-PBE.
Intensities are scaled so that the largest is 1000.

Crystal structure
```
LiPmSiPt2
1.0
4.0984 0.0000 0.0000
0.0000 4.0984 0.0000
0.0000 0.0000 10.7649
Li Pm Si Pt
2 2 2 4
direct
0.0000 0.0000 0.0000
0.5000 0.5000 0.5000
0.0000 0.5000 0.7500
0.5000 0.0000 0.2500
0.0000 0.0000 0.5000
0.5000 0.5000 0.0000
0.0000 0.5000 0.1242
0.0000 0.5000 0.3758
0.5000 0.0000 0.6242
0.5000 0.0000 0.8758
```

Main lines, low angle first (2θ = 15–90°):
2θ 30.85, I 833; 2θ 33.18, I 1000; 2θ 44.20, I 405; 2θ 47.72, I 348; 2θ 56.38, I 501; 2θ 67.06, I 253

[4]
This entry pairs a crystal structure of LiPm2Si3Pt12 with its simulated X-ray powder pattern. Radiation: Cu Ka. Structure: a cell relaxed with GGA-PBE.
Intensities are scaled so that the largest is 1000.

Crystal structure
```
LiPm2Si3Pt12
1.0
4.1258 2.3820 5.8953
-4.1258 2.3820 5.8953
0.0000 -4.7641 5.8953
Li Pm Si Pt
1 2 3 12
direct
0.0000 0.0000 0.0000
0.3828 0.3828 0.3828
0.6172 0.6172 0.6172
0.0000 0.0000 0.5000
0.0000 0.5000 0.0000
0.5000 0.0000 0.0000
0.1051 0.6443 0.6443
0.1286 0.1286 0.6341
0.1286 0.6341 0.1286
0.3557 0.3557 0.8949
0.3557 0.8949 0.3557
0.3659 0.8714 0.8714
0.6341 0.1286 0.1286
0.6443 0.1051 0.6443
0.6443 0.6443 0.1051
0.8714 0.3659 0.8714
0.8714 0.8714 0.3659
0.8949 0.3557 0.3557
```

Main lines, low angle first (2θ = 15–90°):
2θ 32.21, I 1000; 2θ 43.89, I 489; 2θ 48.42, I 350; 2θ 55.47, I 203; 2θ 67.40, I 130; 2θ 73.29, I 166

[5]
This entry pairs a crystal structure of LiPmPuTc with its simulated X-ray powder pattern. Radiation: Cu Ka. Structure: a cell relaxed with GGA-PBE.
Intensities are scaled so that the largest is 1000.

Crystal structure
```
LiPmPuTc
1.0
7.0050 0.0000 0.0000
0.0000 7.0050 0.0000
0.0000 0.0000 7.0050
Li Pm Pu Tc
4 4 4 4
direct
0.0000 0.0000 0.0000
0.0000 0.5000 0.5000
0.5000 0.0000 0.5000
0.5000 0.5000 0.0000
0.2500 0.2500 0.2500
0.2500 0.7500 0.7500
0.7500 0.2500 0.7500
0.7500 0.7500 0.2500
0.2500 0.2500 0.7500
0.2500 0.7500 0.2500
0.7500 0.2500 0.2500
0.7500 0.7500 0.7500
0.0000 0.0000 0.5000
0.0000 0.5000 0.0000
0.5000 0.0000 0.0000
0.5000 0.5000 0.5000
```

Main lines, low angle first (2θ = 15–90°):
2θ 21.98, I 165; 2θ 25.43, I 391; 2θ 36.27, I 1000; 2θ 52.23, I 178; 2θ 65.25, I 365; 2θ 88.22, I 167

[6]
This entry pairs a crystal structure of LiPmSmRe with its simulated X-ray powder pattern. Radiation: Cu Ka. Structure: a cell relaxed with GGA-PBE.
Intensities are scaled so that the largest is 1000.

Crystal structure
```
LiPmSmRe
1.0
7.0929 0.0000 0.0000
0.0000 7.0929 0.0000
0.0000 0.0000 7.0929
Li Pm Sm Re
4 4 4 4
direct
0.0000 0.0000 0.0000
0.0000 0.5000 0.5000
0.5000 0.0000 0.5000
0.5000 0.5000 0.0000
0.2500 0.2500 0.2500
0.2500 0.7500 0.7500
0.7500 0.2500 0.7500
0.7500 0.7500 0.2500
0.2500 0.2500 0.7500
0.2500 0.7500 0.2500
0.7500 0.2500 0.2500
0.7500 0.7500 0.7500
0.0000 0.0000 0.5000
0.0000 0.5000 0.0000
0.5000 0.0000 0.0000
0.5000 0.5000 0.5000
```

Main lines, low angle first (2θ = 15–90°):
2θ 21.70, I 318; 2θ 35.81, I 1000; 2θ 42.26, I 172; 2θ 51.54, I 178; 2θ 64.34, I 366; 2θ 86.85, I 165

[7]
This entry pairs a crystal structure of LiPm5Rh6 with its simulated X-ray powder pattern. Radiation: Cu Ka. Structure: a cell relaxed with GGA-PBE.
Intensities are scaled so that the largest is 1000.

Crystal structure
```
LiPm5Rh6
1.0
-2.4058 3.5380 7.2547
2.4058 -3.5380 7.2547
2.4058 3.5380 -7.2547
Li Pm Rh
1 5 6
direct
0.0000 0.0000 0.0000
0.1464 0.6464 0.5000
0.3251 0.3251 0.0000
0.5000 0.0000 0.5000
0.6749 0.6749 0.0000
0.8536 0.3536 0.5000
0.0877 0.8336 0.2541
0.2689 0.5000 0.7689
0.4205 0.1664 0.2541
0.5795 0.8336 0.7459
0.7311 0.5000 0.2311
0.9123 0.1664 0.7459
```

Main lines, low angle first (2θ = 15–90°):
2θ 36.59, I 1000; 2θ 37.18, I 217; 2θ 37.38, I 247; 2θ 53.75, I 149; 2θ 66.65, I 128; 2θ 66.91, I 170

[8]
This entry pairs a crystal structure of LiPm2Sn2Rh5 with its simulated X-ray powder pattern. Radiation: Cu Ka. Structure: a cell relaxed with GGA-PBE.
Intensities are scaled so that the largest is 1000.

Crystal structure
```
LiPm2Sn2Rh5
1.0
10.3311 0.0000 0.0000
0.0000 10.3311 0.0000
0.0000 0.0000 3.6117
Li Pm Sn Rh
2 4 4 10
direct
0.0000 0.0000 0.0000
0.5000 0.5000 0.0000
0.1683 0.3317 0.0000
0.3317 0.8317 0.0000
0.6683 0.1683 0.0000
0.8317 0.6683 0.0000
0.1320 0.6320 0.0000
0.3680 0.1320 0.0000
0.6320 0.8680 0.0000
0.8680 0.3680 0.0000
0.0000 0.5000 0.5000
0.0546 0.8025 0.5000
0.1975 0.0546 0.5000
0.3025 0.5546 0.5000
0.4454 0.3025 0.5000
0.5000 0.0000 0.5000
0.5546 0.6975 0.5000
0.6975 0.4454 0.5000
0.8025 0.9454 0.5000
0.9454 0.1975 0.5000
```

Main lines, low angle first (2θ = 15–90°):
2θ 30.19, I 239; 2θ 35.84, I 437; 2θ 36.91, I 506; 2θ 37.11, I 1000; 2θ 40.17, I 348; 2θ 43.06, I 403